Starting from a GGA-PBE-relaxed structure, the powder diffractogram of Ca3Hg3Pd2 was computed for Cu Kα X-rays.
Neutral-atom scattering factors, no anomalous dispersion.

Atomic structure:
```
data_Ca3Hg3Pd2
_chemical_formula_sum 'Ca12 Hg12 Pd8'
_cell_length_a 7.8972
_cell_length_b 17.0222
_cell_length_c 5.8920
_cell_angle_alpha 90.00
_cell_angle_beta 90.00
_cell_angle_gamma 90.00
_space_group_name_H-M_alt 'P n m a'
_space_group_IT_number 62
loop_
_space_group_symop_operation_xyz
'x,y,z'
'-x,-y,-z'
'-x+1/2,-y,z+1/2'
'x+1/2,y,-z+1/2'
'x+1/2,-y+1/2,-z+1/2'
'-x+1/2,y+1/2,z+1/2'
'-x,y+1/2,-z'
'x,-y+1/2,z'
loop_
_atom_site_label
_atom_site_fract_x
_atom_site_fract_y
_atom_site_fract_z
Ca1 0.0359 0.1091 0.1158
Ca2 0.1656 0.2500 0.6443
Hg1 0.1808 0.7500 0.6538
Hg2 0.1854 0.0327 0.5869
Pd1 0.1155 0.6197 0.3826
```

Peak list (12 most intense, 2θ from 10° to 80°, low angle first)
Position (°2θ)  I/Imax  index
10.4  38  0 2 0
18.8  59  1 0 1
21.7  63  0 3 1
30.9  52  2 4 0
32.4  72  1 0 2
34.5  74  2 4 1
36.2  41  1 3 2
37.4  59  3 0 1
38.9  100  1 4 2
41.8  61  1 7 1
43.7  33  2 7 0
49.1  30  3 3 2

***

Starting from a GGA-PBE-relaxed structure, the powder diffractogram of Ca2HgPd was computed for Cu Kα X-rays.
Neutral-atom scattering factors, no anomalous dispersion.

Atomic structure:
```
data_Ca2HgPd
_chemical_formula_sum 'Ca8 Hg4 Pd4'
_cell_length_a 7.3466
_cell_length_b 10.4138
_cell_length_c 5.1418
_cell_angle_alpha 90.00
_cell_angle_beta 90.00
_cell_angle_gamma 90.00
_space_group_name_H-M_alt 'C m c m'
_space_group_IT_number 63
_space_group_name_Hall '-C 2c 2'
loop_
_atom_site_label
_atom_site_fract_x
_atom_site_fract_y
_atom_site_fract_z
Ca1 0.2374 0.1236 0.2500
Hg1 0.0000 0.3764 0.2500
Pd1 0.0000 0.1305 0.7500
```

Peak list (12 most intense, 2θ from 10° to 80°, low angle first)
Position (°2θ)  I/Imax  index
14.8  9  1 1 0
24.3  59  2 0 0
34.4  25  0 4 0
34.6  100  2 2 1
34.9  25  0 0 2
42.6  9  2 4 0
42.9  9  2 0 2
49.8  18  0 4 2
56.0  9  4 2 1
61.8  27  2 6 1
62.4  18  2 2 3
73.0  11  4 4 2

***

Starting from a GGA-PBE-relaxed structure, the powder diffractogram of Ca2Hg3Pd4 was computed for Cu Kα X-rays.
Neutral-atom scattering factors, no anomalous dispersion.

Atomic structure:
```
data_Ca2Hg3Pd4
_chemical_formula_sum 'Ca8 Hg12 Pd16'
_cell_length_a 5.9362
_cell_length_b 17.1292
_cell_length_c 7.5204
_cell_angle_alpha 90.00
_cell_angle_beta 90.00
_cell_angle_gamma 90.00
_space_group_name_H-M_alt 'C m c e'
_space_group_IT_number 64
_space_group_name_Hall '-C 2ac 2'
loop_
_atom_site_label
_atom_site_fract_x
_atom_site_fract_y
_atom_site_fract_z
Ca1 0.0000 0.1019 0.0885
Hg1 0.0000 0.0000 0.5000
Hg2 0.2500 0.2411 0.7500
Pd1 0.0000 0.1609 0.4803
Pd2 0.2500 0.0761 0.7500
```

Peak list (12 most intense, 2θ from 10° to 80°, low angle first)
Position (°2θ)  I/Imax  index
19.7  62  1 1 1
25.9  37  0 2 2
31.9  24  2 2 0
32.4  34  1 5 1
34.1  21  2 2 1
38.6  100  2 0 2
39.6  76  0 6 2
41.7  20  1 7 1
44.0  59  2 6 0
48.4  22  0 0 4
67.5  35  2 6 4
76.7  22  4 6 2

***

Starting from a GGA-PBE-relaxed structure, the powder diffractogram of Ca2HgPd6 was computed for Cu Kα X-rays.
Neutral-atom scattering factors, no anomalous dispersion.

Atomic structure:
```
data_Ca2HgPd6
_chemical_formula_sum 'Ca4 Hg2 Pd12'
_cell_length_a 10.0458
_cell_length_b 8.6741
_cell_length_c 4.5374
_cell_angle_alpha 90.00
_cell_angle_beta 116.65
_cell_angle_gamma 90.00
_space_group_name_H-M_alt 'C 1 2/m 1'
_space_group_IT_number 12
loop_
_space_group_symop_operation_xyz
'x,y,z'
'-x,-y,-z'
'-x,y,-z'
'x,-y,z'
'x+1/2,y+1/2,z'
'-x+1/2,-y+1/2,-z'
'-x+1/2,y+1/2,-z'
'x+1/2,-y+1/2,z'
loop_
_atom_site_label
_atom_site_fract_x
_atom_site_fract_y
_atom_site_fract_z
Ca1 0.1735 0.0000 0.1718
Hg1 0.0000 0.5000 0.5000
Pd1 0.0000 0.3010 0.0000
Pd2 0.1604 0.2178 0.6598
```

Peak list (12 most intense, 2θ from 10° to 80°, low angle first)
Position (°2θ)  I/Imax  index
14.2  48  1 1 0
20.5  29  0 2 0
21.9  17  0 0 1
31.6  44  3 1 0
36.9  76  1 3 -1
39.7  53  2 0 -2
41.7  100  2 2 1
41.8  77  4 2 -1
58.9  16  2 4 -2
61.8  27  3 5 0
62.0  16  6 0 0
76.1  23  4 0 2

***

Starting from a GGA-PBE-relaxed structure, the powder diffractogram of Ca3Pm2Hg4 was computed for Cu Kα X-rays.
Neutral-atom scattering factors, no anomalous dispersion.

Atomic structure:
```
data_Ca3Pm2Hg4
_chemical_formula_sum 'Ca6 Pm4 Hg8'
_cell_length_a 9.2374
_cell_length_b 5.3257
_cell_length_c 10.5313
_cell_angle_alpha 90.00
_cell_angle_beta 90.06
_cell_angle_gamma 90.00
_space_group_name_H-M_alt 'C 1 2/m 1'
_space_group_IT_number 12
loop_
_space_group_symop_operation_xyz
'x,y,z'
'-x,-y,-z'
'-x,y,-z'
'x,-y,z'
'x+1/2,y+1/2,z'
'-x+1/2,-y+1/2,-z'
'-x+1/2,y+1/2,-z'
'x+1/2,-y+1/2,z'
loop_
_atom_site_label
_atom_site_fract_x
_atom_site_fract_y
_atom_site_fract_z
Ca1 0.0000 0.0000 0.0000
Ca2 0.1663 0.5000 0.5882
Pm1 0.1668 0.5000 0.2031
Hg1 0.0006 0.0000 0.3305
Hg2 0.1667 0.5000 0.8965
```

Peak list (12 most intense, 2θ from 10° to 80°, low angle first)
Position (°2θ)  I/Imax  index
21.0  39  1 1 1
32.0  100  2 0 3
33.6  94  3 1 0
39.4  10  1 1 -4
47.1  34  2 2 3
56.1  17  1 1 6
59.1  35  5 1 3
60.1  18  6 0 0
67.0  10  4 0 6
70.7  11  6 2 0
77.1  9  4 2 6
79.8  10  5 3 3

***

Starting from a GGA-PBE-relaxed structure, the powder diffractogram of Ca2Pm3Hg3 was computed for Cu Kα X-rays.
Neutral-atom scattering factors, no anomalous dispersion.

Atomic structure:
```
data_Ca2Pm3Hg3
_chemical_formula_sum 'Ca4 Pm6 Hg6'
_cell_length_a 3.7976
_cell_length_b 5.5139
_cell_length_c 23.2099
_cell_angle_alpha 90.00
_cell_angle_beta 90.00
_cell_angle_gamma 90.00
_space_group_name_H-M_alt 'I m m m'
_space_group_IT_number 71
_space_group_name_Hall '-I 2 2'
loop_
_atom_site_label
_atom_site_fract_x
_atom_site_fract_y
_atom_site_fract_z
Ca1 0.0000 0.0000 0.2243
Pm1 0.0000 0.0000 0.0000
Pm2 0.0000 0.5000 0.1153
Hg1 0.0000 0.0000 0.5000
Hg2 0.0000 0.5000 0.3856
```

Peak list (12 most intense, 2θ from 10° to 80°, low angle first)
Position (°2θ)  I/Imax  index
15.3  6  0 0 4
30.8  18  0 0 8
32.5  100  0 2 0
37.0  15  1 1 6
45.4  13  0 2 8
47.9  7  2 0 0
55.9  10  1 1 12
58.0  21  1 3 4
59.1  8  2 2 0
63.5  9  1 1 14
68.1  8  2 2 8
79.4  6  3 1 4

***

Starting from a GGA-PBE-relaxed structure, the powder diffractogram of CaPm2Hg3 was computed for Cu Kα X-rays.
Neutral-atom scattering factors, no anomalous dispersion.

Atomic structure:
```
data_CaPm2Hg3
_chemical_formula_sum 'Ca2 Pm4 Hg6'
_cell_length_a 5.3724
_cell_length_b 5.3724
_cell_length_c 13.1697
_cell_angle_alpha 90.00
_cell_angle_beta 90.00
_cell_angle_gamma 120.00
_space_group_name_H-M_alt 'P -3 m 1'
_space_group_IT_number 164
_space_group_name_Hall '-P 3 2"'
loop_
_atom_site_label
_atom_site_fract_x
_atom_site_fract_y
_atom_site_fract_z
Ca1 0.3333 0.6667 0.1662
Pm1 0.0000 0.0000 0.0000
Pm2 0.0000 0.0000 0.5000
Pm3 0.3333 0.6667 0.6710
Hg1 0.0000 0.0000 0.2492
Hg2 0.3333 0.6667 0.4170
Hg3 0.3333 0.6667 0.9171
```

Peak list (12 most intense, 2θ from 10° to 80°, low angle first)
Position (°2θ)  I/Imax  index
20.2  3  1 0 1
23.4  10  0 1 2
33.3  100  1 1 0
39.3  2  0 1 5
41.1  3  0 0 6
47.9  18  0 2 4
52.5  1  2 0 5
54.0  5  1 1 6
59.6  38  3 0 0
70.0  12  2 2 0
75.0  2  1 0 10
79.8  17  1 3 4

***

Starting from a GGA-PBE-relaxed structure, the powder diffractogram of CaPr3Hg5 was computed for Cu Kα X-rays.
Neutral-atom scattering factors, no anomalous dispersion.

Atomic structure:
```
data_CaPr3Hg5
_chemical_formula_sum 'Ca2 Pr6 Hg10'
_cell_length_a 9.3519
_cell_length_b 9.3519
_cell_length_c 6.7009
_cell_angle_alpha 90.00
_cell_angle_beta 90.00
_cell_angle_gamma 120.00
_space_group_name_H-M_alt 'P 63/m c m'
_space_group_IT_number 193
_space_group_name_Hall '-P 6c 2'
loop_
_atom_site_label
_atom_site_fract_x
_atom_site_fract_y
_atom_site_fract_z
Ca1 0.0000 0.0000 0.0000
Pr1 0.0000 0.3656 0.2500
Hg1 0.0000 0.3005 0.7500
Hg2 0.3333 0.6667 0.0000
```

Peak list (12 most intense, 2θ from 10° to 80°, low angle first)
Position (°2θ)  I/Imax  index
10.9  11  1 0 0
26.6  11  0 0 2
32.1  22  2 1 1
32.9  99  1 1 2
33.2  100  3 0 0
43.0  11  3 0 2
47.4  32  2 2 2
54.8  10  0 0 4
59.1  28  4 1 2
59.3  13  3 3 0
65.6  37  3 0 4
79.2  10  5 2 2

***

> Which formula does entry 8 have?

CaPr3Hg5